La12Cu5Hg: simulated X-ray powder pattern (Cu Kα X-rays), based on DFT lattice parameters and positions (GGA-PBE).

Structural model:
Lattice parameters (Å, degrees): 8.8693 8.8693 8.8693 112.31 109.75 106.41
Positions (direct):
1 La 0.0510 0.2375 0.8135
2 La 0.1737 0.2741 0.4478
3 La 0.1737 0.7259 0.8996
4 La 0.3251 0.0212 0.6961
5 La 0.3251 0.6291 0.3039
6 La 0.4240 0.2375 0.1865
7 La 0.5760 0.7625 0.8135
8 La 0.6749 0.3709 0.6961
9 La 0.6749 0.9788 0.3039
10 La 0.8263 0.2741 0.1004
11 La 0.8263 0.7259 0.5522
12 La 0.9490 0.7625 0.1865
13 Cu 0.0000 0.0000 0.0000
14 Cu 0.1188 0.6188 0.5000
15 Cu 0.3564 0.0000 0.3564
16 Cu 0.6436 0.0000 0.6436
17 Cu 0.8812 0.3812 0.5000
18 Hg 0.5000 0.5000 0.0000

Most intense lines, 2θ = 10–90°, low angle first:
2θ = 30.3°, d = 2.951 Å, rel. 100; 2θ = 32.3°, d = 2.770 Å, rel. 63; 2θ = 32.5°, d = 2.751 Å, rel. 69; 2θ = 33.1°, d = 2.709 Å, rel. 34; 2θ = 36.4°, d = 2.470 Å, rel. 31; 2θ = 56.6°, d = 1.627 Å, rel. 31

***

Pm2NiH6Rh: simulated X-ray powder pattern (Cu Kα X-rays), based on DFT lattice parameters and positions (GGA-PBE).

Structural model:
Lattice parameters (Å, degrees): 5.2133 5.1775 5.1715 60.50 59.81 59.69
Positions (direct):
1 Pm 0.2500 0.2500 0.2500
2 Pm 0.7500 0.7500 0.7500
3 Ni 0.0000 0.0000 0.0000
4 H 0.2431 0.2431 0.7569
5 H 0.2432 0.7568 0.2432
6 H 0.2438 0.7562 0.7562
7 H 0.7562 0.2438 0.2438
8 H 0.7568 0.2432 0.7568
9 H 0.7569 0.7569 0.2431
10 Rh 0.5000 0.5000 0.5000

Most intense lines, 2θ = 10–90°, low angle first:
2θ = 34.4°, d = 2.607 Å, rel. 51; 2θ = 34.7°, d = 2.587 Å, rel. 100; 2θ = 49.4°, d = 1.845 Å, rel. 9; 2θ = 61.8°, d = 1.501 Å, rel. 37; 2θ = 62.3°, d = 1.490 Å, rel. 18; 2θ = 73.2°, d = 1.293 Å, rel. 11

***

Cr2CoSeS3: simulated X-ray powder pattern (Cu Kα X-rays), based on DFT lattice parameters and positions (GGA-PBE).

Structural model:
Lattice parameters (Å, degrees): 6.9958 6.9958 6.9958 119.97 119.88 90.13
Positions (direct):
1 Cr 0.2327 0.0000 0.2327
2 Cr 0.7596 0.0063 0.2467
3 Cr 0.7596 0.5129 0.7533
4 Cr 0.7673 0.0000 0.7673
5 Co 0.1333 0.6333 0.5000
6 Co 0.3573 0.3573 0.0000
7 Se 0.5039 0.2456 0.7417
8 Se 0.5039 0.7622 0.2583
9 S 0.0007 0.2473 0.2467
10 S 0.0007 0.7540 0.7533
11 S 0.5108 0.2426 0.2683
12 S 0.5218 0.7584 0.7634
13 S 0.9743 0.2426 0.7317
14 S 0.9950 0.7584 0.2366

Most intense lines, 2θ = 10–90°, low angle first:
2θ = 25.4°, d = 3.501 Å, rel. 35; 2θ = 29.9°, d = 2.984 Å, rel. 100; 2θ = 36.3°, d = 2.474 Å, rel. 72; 2θ = 47.7°, d = 1.906 Å, rel. 30; 2θ = 52.2°, d = 1.751 Å, rel. 37; 2θ = 52.3°, d = 1.749 Å, rel. 71